Record 1
The following is a calculated X-ray diffraction stick pattern of Th2Si3Pd2. It was derived from a GGA-PBE-relaxed structure, using CuKα.
Intensities are scaled so that the largest is 100.

Structure:
```
data_Th2Si3Pd2
_cell_length_a 4.3415
_cell_length_b 18.3341
_cell_length_c 6.9114
_cell_angle_alpha 90.00
_cell_angle_beta 90.00
_cell_angle_gamma 90.00
_symmetry_space_group_name_H-M 'C m c m'
_symmetry_Int_Tables_number 63
_symmetry_space_group_name_Hall '-C 2c 2'
loop_
_atom_site_label
_atom_site_type_symbol
_atom_site_fract_x
_atom_site_fract_y
_atom_site_fract_z
Th1 Th 0.0000 0.0539 0.2500
Th2 Th 0.0000 0.1563 0.7500
Si1 Si 0.0000 0.2209 0.2500
Si2 Si 0.0000 0.4414 0.0727
Pd1 Pd 0.0000 0.3125 0.5503
```

Top 10 peaks for 10 to 90 degrees two-theta, by intensity:
| index | 2θ/deg | I_rel |
| --- | --- | --- |
| 1 5 1 | 34.55 | 100.0 |
| 1 1 2 | 33.50 | 81.2 |
| 0 4 1 | 23.29 | 35.1 |
| 0 4 3 | 43.99 | 34.5 |
| 2 0 0 | 41.60 | 32.6 |
| 0 6 1 | 32.01 | 32.1 |
| 1 1 0 | 21.03 | 25.7 |
| 2 4 3 | 62.15 | 25.0 |
| 1 9 2 | 56.57 | 23.4 |
| 1 3 2 | 36.33 | 23.3 |

=====

Record 2
The following is a calculated X-ray diffraction stick pattern of Ti4SiPd2. It was derived from a GGA-PBE-relaxed structure, using CuKα.
Intensities are scaled so that the largest is 100.

Structure:
```
data_Ti4SiPd2
_cell_length_a 4.5556
_cell_length_b 4.5556
_cell_length_c 12.7896
_cell_angle_alpha 90.00
_cell_angle_beta 90.00
_cell_angle_gamma 90.00
_symmetry_space_group_name_H-M 'I 4/m m m'
_symmetry_Int_Tables_number 139
_symmetry_space_group_name_Hall '-I 4 2'
loop_
_atom_site_label
_atom_site_type_symbol
_atom_site_fract_x
_atom_site_fract_y
_atom_site_fract_z
Ti1 Ti 0.0000 0.0000 0.1878
Ti2 Ti 0.0000 0.5000 0.0000
Si1 Si 0.0000 0.0000 0.0000
Pd1 Pd 0.0000 0.0000 0.3755
```

Top 10 peaks for 10 to 90 degrees two-theta, by intensity:
| index | 2θ/deg | I_rel |
| --- | --- | --- |
| 2 0 0 | 39.57 | 100.0 |
| 1 1 0 | 27.69 | 85.3 |
| 1 1 4 | 39.72 | 83.6 |
| 1 0 5 | 40.44 | 73.5 |
| 2 1 5 | 57.86 | 48.9 |
| 1 0 1 | 20.70 | 43.3 |
| 1 1 2 | 31.09 | 37.0 |
| 2 2 0 | 57.19 | 32.0 |
| 3 1 4 | 71.88 | 26.7 |
| 1 0 3 | 28.68 | 22.0 |

=====

Record 3
The following is a calculated X-ray diffraction stick pattern of Tl2Si6Pd21. It was derived from a GGA-PBE-relaxed structure, using CuKα.
Intensities are scaled so that the largest is 100.

Structure:
```
data_Tl2Si6Pd21
_cell_length_a 12.2322
_cell_length_b 12.2322
_cell_length_c 12.2322
_cell_angle_alpha 90.00
_cell_angle_beta 90.00
_cell_angle_gamma 90.00
_symmetry_space_group_name_H-M 'F m -3 m'
_symmetry_Int_Tables_number 225
_symmetry_space_group_name_Hall '-F 4 2 3'
loop_
_atom_site_label
_atom_site_type_symbol
_atom_site_fract_x
_atom_site_fract_y
_atom_site_fract_z
Tl1 Tl 0.2500 0.2500 0.2500
Si1 Si 0.0000 0.0000 0.2302
Pd1 Pd 0.0000 0.0000 0.5000
Pd2 Pd 0.0000 0.1701 0.3299
Pd3 Pd 0.1183 0.1183 0.1183
```

Top 10 peaks for 10 to 90 degrees two-theta, by intensity:
| index | 2θ/deg | I_rel |
| --- | --- | --- |
| 3 3 3 | 38.23 | 100.0 |
| 4 2 2 | 35.97 | 44.0 |
| 4 2 0 | 32.74 | 38.4 |
| 4 4 0 | 41.77 | 36.8 |
| 6 6 0 | 64.66 | 32.3 |
| 5 3 1 | 43.78 | 29.0 |
| 8 4 4 | 76.27 | 25.2 |
| 6 2 2 | 49.42 | 18.6 |
| 5 5 5 | 66.16 | 14.5 |
| 6 4 4 | 62.63 | 12.7 |

=====

Record 4
The following is a calculated X-ray diffraction stick pattern of Tm3Si2Pd2. It was derived from a GGA-PBE-relaxed structure, using CuKα.
Intensities are scaled so that the largest is 100.

Structure:
```
data_Tm3Si2Pd2
_cell_length_a 5.6419
_cell_length_b 7.7004
_cell_length_c 12.8474
_cell_angle_alpha 90.00
_cell_angle_beta 90.00
_cell_angle_gamma 90.00
_symmetry_space_group_name_H-M 'P b c m'
_symmetry_Int_Tables_number 57
_symmetry_space_group_name_Hall '-P 2c 2b'
loop_
_atom_site_label
_atom_site_type_symbol
_atom_site_fract_x
_atom_site_fract_y
_atom_site_fract_z
Tm1 Tm 0.1262 0.0938 0.1060
Tm2 Tm 0.3638 0.7312 0.2500
Si1 Si 0.1434 0.1207 0.7500
Si2 Si 0.3070 0.7500 0.0000
Pd1 Pd 0.3823 0.0543 0.5907
```

Top 10 peaks for 10 to 90 degrees two-theta, by intensity:
| index | 2θ/deg | I_rel |
| --- | --- | --- |
| 2 1 3 | 40.02 | 100.0 |
| 1 2 3 | 35.15 | 80.4 |
| 1 3 0 | 38.53 | 72.9 |
| 1 1 4 | 34.17 | 61.3 |
| 2 1 1 | 34.57 | 57.1 |
| 0 2 4 | 36.43 | 53.5 |
| 2 1 0 | 33.84 | 38.4 |
| 0 2 2 | 27.00 | 37.2 |
| 0 0 6 | 42.20 | 36.9 |
| 1 1 2 | 23.96 | 32.7 |